No. 1
LiZnMoSe2: theoretical powder XRD pattern (CuKα), based on a cell relaxed with PBE.

Peak list (8 most intense, 2θ = 10–90°, low angle first)
Position (°2θ)  d (Å)  I/Imax  hkl
17.6  5.029  100  1 0 0
18.1  4.893  28  0 0 1
31.1  2.876  67  1 1 1
35.7  2.514  70  2 0 0
36.7  2.447  32  0 0 2
40.1  2.249  24  2 1 0
51.4  1.778  24  2 2 0
52.2  1.753  46  2 0 2

Structural model:
abc: 5.0286 5.0286 4.8932
angles: 90.00 90.00 90.00
Space group P4/mmm (No. 123)
Asymmetric unit:
1 Li 0.0000 0.0000 0.0000 x1
2 Zn 0.5000 0.5000 0.5000 x1
3 Mo 0.5000 0.5000 0.0000 x1
4 Se 0.0000 0.5000 0.5000 x2

=====

No. 2
AlSe2NO8: theoretical powder XRD pattern (CuKα), based on a cell relaxed with PBE.

Peak list (8 most intense, 2θ = 10–90°, low angle first)
Position (°2θ)  d (Å)  I/Imax  hkl
10.3  8.559  33  0 0 1
22.3  3.984  100  0 1 1
28.8  3.102  27  0 1 2
31.4  2.853  8  0 0 3
34.5  2.599  22  1 1 0
47.0  1.933  10  1 0 4
55.0  1.669  15  1 2 1
65.3  1.430  7  1 1 5

Structural model:
abc: 5.1983 5.1983 8.5591
angles: 90.00 90.00 120.00
Space group P321 (No. 150)
Asymmetric unit:
1 Al 0.0000 0.0000 0.0000 x1
2 Se 0.3333 0.6667 0.2044 x2
3 N 0.0000 0.0000 0.5000 x1
4 O 0.1021 0.3244 0.1382 x6
5 O 0.3333 0.6667 0.3961 x2

=====

No. 3
Sr2Ga9Pd3: theoretical powder XRD pattern (CuKα), based on a cell relaxed with PBE.

Peak list (8 most intense, 2θ = 10–90°, low angle first)
Position (°2θ)  d (Å)  I/Imax  hkl
18.0  4.916  20  0 0 2
35.7  2.518  54  3 1 -4
35.8  2.510  100  0 2 3
36.6  2.458  31  0 0 4
39.8  2.266  49  6 0 -2
40.0  2.256  96  3 3 -1
43.5  2.080  26  3 1 3
44.1  2.053  29  3 3 -3

Structural model:
abc: 13.5954 7.8054 10.8414
angles: 90.00 114.91 90.00
Space group C2/c (No. 15)
Asymmetric unit:
1 Sr 0.1676 0.0834 0.2505 x8
2 Ga 0.0000 0.3795 0.2500 x4
3 Ga 0.0585 0.0873 0.9243 x8
4 Ga 0.1011 0.3175 0.7484 x8
5 Ga 0.1023 0.4164 0.0593 x8
6 Ga 0.2222 0.4188 0.4234 x8
7 Pd 0.0842 0.2466 0.5004 x8
8 Pd 0.2500 0.2500 0.0000 x4

=====

No. 4
CrMo2Se2S4: theoretical powder XRD pattern (CuKα), based on a cell relaxed with PBE.

Peak list (8 most intense, 2θ = 10–90°, low angle first)
Position (°2θ)  d (Å)  I/Imax  hkl
12.3  7.170  100  0 0 3
32.4  2.767  25  1 0 0
34.8  2.581  12  1 0 3
36.5  2.460  12  0 1 4
38.7  2.327  36  1 0 5
44.0  2.056  11  0 1 7
47.1  1.928  30  1 0 8
57.7  1.597  18  1 1 0

Structural model:
abc: 3.1951 3.1951 21.5088
angles: 90.00 90.00 120.00
Space group P3m1 (No. 156)
Asymmetric unit:
1 Cr 0.0000 0.0000 0.0000 x1
2 Mo 0.0000 0.0000 0.6498 x1
3 Mo 0.6667 0.3333 0.3264 x1
4 Se 0.6667 0.3333 0.0734 x1
5 Se 0.6667 0.3333 0.9266 x1
6 S 0.0000 0.0000 0.2538 x1
7 S 0.0000 0.0000 0.3991 x1
8 S 0.6667 0.3333 0.5772 x1
9 S 0.6667 0.3333 0.7225 x1

=====

No. 5
RbSi2F8: theoretical powder XRD pattern (CuKα), based on a cell relaxed with PBE.

Peak list (8 most intense, 2θ = 10–90°, low angle first)
Position (°2θ)  d (Å)  I/Imax  hkl
23.5  3.791  100  1 1 1
24.6  3.619  80  0 1 2
34.3  2.618  42  1 0 -2
38.0  2.369  19  0 1 -2
40.5  2.225  23  2 0 1
42.6  2.123  14  1 1 3
42.7  2.119  10  -1 3 2
48.0  1.896  11  2 2 2

Structural model:
abc: 4.7601 7.2302 7.2391
angles: 60.10 89.88 89.97
Space group P-1 (No. 2)
Asymmetric unit:
1 Rb 0.0000 0.0000 0.0000 x1
2 Si 0.3857 0.3333 0.3333 x2
3 F 0.2747 0.2088 0.5767 x2
4 F 0.2753 0.5770 0.2140 x2
5 F 0.2763 0.2138 0.2088 x2
6 F 0.2765 0.6665 0.6672 x2

=====

No. 6
ZnRhSe2: theoretical powder XRD pattern (CuKα), based on a cell relaxed with PBE.

Peak list (8 most intense, 2θ = 10–90°, low angle first)
Position (°2θ)  d (Å)  I/Imax  hkl
33.8  2.650  100  1 1 1
48.2  1.887  11  2 0 2
48.4  1.882  22  1 1 -3
48.8  1.866  24  3 1 -1
49.0  1.860  12  0 2 0
60.8  1.522  12  2 2 -2
71.2  1.325  10  2 2 2
81.5  1.181  10  4 2 0

Structural model:
abc: 6.4686 3.7203 6.5452
angles: 90.00 109.09 90.00
Space group C2/m (No. 12)
Asymmetric unit:
1 Zn 0.0000 0.0000 0.0000 x2
2 Rh 0.0000 0.5000 0.5000 x2
3 Se 0.2410 0.0000 0.7226 x4

=====

No. 7
Sr2Mg3Hg: theoretical powder XRD pattern (CuKα), based on a cell relaxed with PBE.

Peak list (8 most intense, 2θ = 10–90°, low angle first)
Position (°2θ)  d (Å)  I/Imax  hkl
17.1  5.173  71  0 0 1
19.9  4.455  36  1 1 -1
28.3  3.156  100  0 2 0
33.1  2.710  67  3 1 0
33.3  2.692  87  0 2 1
33.4  2.685  44  3 1 -2
34.8  2.581  24  2 2 0
53.4  1.715  40  6 0 -3

Structural model:
abc: 10.9527 6.3009 6.3006
angles: 90.00 124.76 90.00
Space group C2/m (No. 12)
Asymmetric unit:
1 Sr 0.1260 0.0000 0.3784 x4
2 Mg 0.0000 0.5000 0.0000 x2
3 Mg 0.2500 0.2500 0.0000 x4
4 Hg 0.0000 0.5000 0.5000 x2

=====

No. 8
Li2CoAg: theoretical powder XRD pattern (CuKα), based on a cell relaxed with PBE.

Peak list (8 most intense, 2θ = 10–90°, low angle first)
Position (°2θ)  d (Å)  I/Imax  hkl
23.3  3.822  89  0 0 2
26.0  3.431  25  1 0 1
33.0  2.715  72  1 1 0
40.8  2.213  100  1 1 2
47.4  1.920  32  2 0 0
53.4  1.716  34  2 0 2
59.1  1.563  25  1 1 4
83.5  1.157  22  3 1 2

Structural model:
abc: 3.8396 3.8396 7.6434
angles: 90.00 90.00 90.00
Space group I4/mmm (No. 139)
Asymmetric unit:
1 Li 0.0000 0.5000 0.2500 x4
2 Co 0.0000 0.0000 0.0000 x2
3 Ag 0.0000 0.0000 0.5000 x2

=====

No. 9
LiAc2Hg6: theoretical powder XRD pattern (CuKα), based on a cell relaxed with PBE.

Peak list (8 most intense, 2θ = 10–90°, low angle first)
Position (°2θ)  d (Å)  I/Imax  hkl
31.2  2.864  100  2 2 2
36.2  2.480  51  4 0 0
47.6  1.909  8  3 3 3
52.2  1.754  34  4 4 0
62.1  1.496  37  6 2 2
65.1  1.432  11  4 4 4
85.3  1.138  14  6 6 2
88.1  1.109  13  8 4 0

Structural model:
abc: 9.9209 9.9209 9.9209
angles: 90.00 90.00 90.00
Space group Fm-3m (No. 225)
Asymmetric unit:
1 Li 0.0000 0.0000 0.0000 x4
2 Ac 0.2500 0.2500 0.2500 x8
3 Hg 0.0000 0.0000 0.2724 x24

=====

No. 10
CoAg2Os: theoretical powder XRD pattern (CuKα), based on a cell relaxed with PBE.

Peak list (8 most intense, 2θ = 10–90°, low angle first)
Position (°2θ)  d (Å)  I/Imax  hkl
19.1  4.638  13  0 0 6
38.8  2.319  30  0 0 12
40.0  2.253  100  1 0 4
46.2  1.965  61  0 1 8
66.6  1.405  14  1 0 16
68.2  1.375  20  1 1 0
81.4  1.183  20  1 1 12
82.1  1.174  12  0 2 4

Structural model:
abc: 2.7498 2.7498 27.8271
angles: 90.00 90.00 120.00
Space group R3m (No. 160, hexagonal axes)
Asymmetric unit:
1 Co 0.0000 0.0000 0.0000 x3
2 Ag 0.0000 0.0000 0.2508 x3
3 Ag 0.0000 0.0000 0.4928 x3
4 Os 0.0000 0.0000 0.7364 x3

=====

No. 11
Ca2EuTl: theoretical powder XRD pattern (CuKα), based on a cell relaxed with PBE.

Peak list (8 most intense, 2θ = 10–90°, low angle first)
Position (°2θ)  d (Å)  I/Imax  hkl
21.9  4.059  43  2 0 0
31.2  2.870  100  2 2 0
38.4  2.344  14  2 2 2
44.6  2.030  18  4 0 0
50.3  1.815  21  4 2 0
55.4  1.657  39  4 2 2
65.0  1.435  12  4 4 0
73.8  1.284  16  6 2 0

Structural model:
abc: 8.1182 8.1182 8.1182
angles: 90.00 90.00 90.00
Space group Fm-3m (No. 225)
Asymmetric unit:
1 Ca 0.2500 0.2500 0.2500 x8
2 Eu 0.0000 0.0000 0.0000 x4
3 Tl 0.0000 0.0000 0.5000 x4

=====

No. 12
NiB5: theoretical powder XRD pattern (CuKα), based on a cell relaxed with PBE.

Peak list (8 most intense, 2θ = 10–90°, low angle first)
Position (°2θ)  d (Å)  I/Imax  hkl
19.1  4.656  100  0 2 0
27.0  3.307  28  1 1 0
30.0  2.975  26  0 0 1
35.8  2.507  53  0 2 1
38.6  2.332  63  1 3 0
40.8  2.212  59  1 1 1
49.7  1.835  40  1 3 1
64.7  1.442  31  1 5 1

Structural model:
abc: 3.5375 9.3116 2.9750
angles: 90.00 90.00 90.00
Space group Cmmm (No. 65)
Asymmetric unit:
1 Ni 0.0000 0.0000 0.0000 x2
2 B 0.0000 0.3009 0.5000 x4
3 B 0.0000 0.3918 0.0000 x4
4 B 0.0000 0.5000 0.5000 x2

=====

No. 13
PmHoGaPd: theoretical powder XRD pattern (CuKα), based on a cell relaxed with PBE.

Peak list (8 most intense, 2θ = 10–90°, low angle first)
Position (°2θ)  d (Å)  I/Imax  hkl
25.5  3.499  20  1 0 2
31.9  2.807  100  1 1 1
32.0  2.794  26  0 0 4
33.7  2.661  38  0 1 3
37.9  2.372  27  1 0 4
39.4  2.288  52  1 1 3
40.2  2.244  30  2 0 0
53.4  1.715  20  2 1 3

Structural model:
abc: 4.4870 3.8015 11.1747
angles: 90.00 90.00 90.00
Space group Amm2 (No. 38)
Asymmetric unit:
1 Pm 0.0000 0.0000 0.0000 x2
2 Ho 0.5000 0.0000 0.7145 x2
3 Ga 0.5000 0.0000 0.4284 x2
4 Pd 0.0000 0.0000 0.2782 x2

=====

No. 14
TcHgIr2: theoretical powder XRD pattern (CuKα), based on a cell relaxed with PBE.

Peak list (8 most intense, 2θ = 10–90°, low angle first)
Position (°2θ)  d (Å)  I/Imax  hkl
28.8  3.098  11  0 0 9
38.8  2.323  28  0 0 12
39.0  2.310  100  1 0 4
45.3  2.003  61  0 1 8
65.8  1.419  15  1 0 16
66.1  1.413  22  1 1 0
79.4  1.207  21  1 1 12
79.5  1.205  13  0 2 4

Structural model:
abc: 2.8265 2.8265 27.8783
angles: 90.00 90.00 120.00
Space group R-3m (No. 166, hexagonal axes)
Asymmetric unit:
1 Tc 0.0000 0.0000 0.0000 x3
2 Hg 0.0000 0.0000 0.5000 x3
3 Ir 0.0000 0.0000 0.2580 x6